No. 1
Structure and theoretical PXRD pattern of InBi3Pb2 (DFT lattice parameters and positions (GGA-PBE); Cu Kα (weighted mean of Kα1 and Kα2)).

Principal peaks in the range 10 to 80 degrees two-theta, low angle first:
26.3 deg, rel. 41, hkl 0 2 0
30.4 deg, rel. 87, hkl 2 0 2
30.9 deg, rel. 100, hkl 2 2 -1
31.1 deg, rel. 81, hkl 2 0 -4
32.2 deg, rel. 80, hkl 4 0 -2
37.4 deg, rel. 61, hkl 0 2 3

Crystal structure
Cell lengths 11.1183, 6.7748, 11.5167 Å; angles 90.00, 117.31, 90.00 degrees
Space group C2/c (No. 15)
Symmetry-distinct sites (fractional):
In 0.0000 0.1262 0.2500 x4
Bi 0.0000 0.3458 0.7500 x4
Bi 0.1715 0.1898 0.5846 x8
Pb 0.1614 0.3144 0.0856 x8


No. 2
Structure and theoretical PXRD pattern of In3Bi2Pb3 (DFT lattice parameters and positions (GGA-PBE); Cu Kα (weighted mean of Kα1 and Kα2)).

Principal peaks in the range 10 to 80 degrees two-theta, low angle first:
31.2 deg, rel. 100, hkl 1 1 -1
31.3 deg, rel. 99, hkl 1 1 3
35.9 deg, rel. 35, hkl 0 2 1
36.5 deg, rel. 66, hkl 2 0 1
52.0 deg, rel. 24, hkl 2 2 2
52.1 deg, rel. 24, hkl 2 -2 0

Crystal structure
Cell lengths 4.9329, 5.0066, 10.4463 Å; angles 76.21, 76.56, 89.87 degrees
Space group P-1 (No. 2)
Symmetry-distinct sites (fractional):
In 0.0000 0.0000 0.0000 x1
In 0.3813 0.8802 0.2404 x2
Bi 0.2483 0.2472 0.5064 x2
Pb 0.1220 0.6282 0.7447 x2
Pb 0.5000 0.5000 0.0000 x1


No. 3
Structure and theoretical PXRD pattern of In9Bi4Pb2 (DFT lattice parameters and positions (GGA-PBE); Cu Kα (weighted mean of Kα1 and Kα2)).

Principal peaks in the range 10 to 80 degrees two-theta, low angle first:
32.0 deg, rel. 100, hkl 1 1 0
32.7 deg, rel. 82, hkl 1 0 5
46.4 deg, rel. 31, hkl 0 2 5
57.0 deg, rel. 19, hkl 3 0 0
57.5 deg, rel. 33, hkl 2 1 5
76.4 deg, rel. 14, hkl 1 3 5

Crystal structure
Cell lengths 5.5985, 5.5985, 16.5628 Å; angles 90.00, 90.00, 120.00 degrees
Space group P-3m1 (No. 164)
Symmetry-distinct sites (fractional):
In 0.0000 0.0000 0.0000 x1
In 0.0000 0.0000 0.1973 x2
In 0.0000 0.0000 0.4001 x2
In 0.3333 0.6667 0.1203 x2
In 0.3333 0.6667 0.5178 x2
Bi 0.3333 0.6667 0.7194 x2
Bi 0.3333 0.6667 0.9121 x2
Pb 0.3333 0.6667 0.3197 x2


No. 4
Structure and theoretical PXRD pattern of In4Bi4Pb (DFT lattice parameters and positions (GGA-PBE); Cu Kα (weighted mean of Kα1 and Kα2)).

Principal peaks in the range 10 to 80 degrees two-theta, low angle first:
31.4 deg, rel. 100, hkl 3 0 1
33.7 deg, rel. 21, hkl 0 0 2
37.7 deg, rel. 31, hkl 3 3 0
51.5 deg, rel. 25, hkl 3 3 2
58.8 deg, rel. 17, hkl 3 0 3
64.1 deg, rel. 27, hkl 6 3 1

Crystal structure
Cell lengths 10.1252, 10.1252, 5.3172 Å; angles 90.00, 90.00, 90.00 degrees
Space group I4/m (No. 87)
Symmetry-distinct sites (fractional):
In 0.1662 0.8324 0.0000 x8
Bi 0.0023 0.6666 0.5000 x8
Pb 0.0000 0.0000 0.5000 x2


No. 5
Structure and theoretical PXRD pattern of InBiPb14 (DFT lattice parameters and positions (GGA-PBE); Cu Kα (weighted mean of Kα1 and Kα2)).

Principal peaks in the range 10 to 80 degrees two-theta, low angle first:
30.9 deg, rel. 100, hkl 2 2 2
35.6 deg, rel. 35, hkl 4 0 0
36.4 deg, rel. 16, hkl 0 0 4
51.8 deg, rel. 24, hkl 4 0 4
61.0 deg, rel. 30, hkl 6 2 2
62.1 deg, rel. 14, hkl 2 2 6

Crystal structure
Cell lengths 10.0946, 10.1053, 9.8699 Å; angles 90.00, 90.00, 90.00 degrees
Space group Cmmm (No. 65)
Symmetry-distinct sites (fractional):
In 0.0000 0.0000 0.0000 x2
Bi 0.0000 0.5000 0.0000 x2
Pb 0.0000 0.0000 0.5000 x2
Pb 0.0000 0.2490 0.2503 x8
Pb 0.0000 0.5000 0.5000 x2
Pb 0.2490 0.0000 0.2503 x8
Pb 0.2500 0.2500 0.0000 x4
Pb 0.2500 0.2500 0.5000 x4


No. 6
Structure and theoretical PXRD pattern of In7Bi5Pb (DFT lattice parameters and positions (GGA-PBE); Cu Kα (weighted mean of Kα1 and Kα2)).

Principal peaks in the range 10 to 80 degrees two-theta, low angle first:
30.0 deg, rel. 18, hkl 3 3 0
31.0 deg, rel. 51, hkl 1 3 1
31.2 deg, rel. 100, hkl 2 2 1
31.4 deg, rel. 52, hkl 4 2 -1
35.9 deg, rel. 52, hkl 2 0 -2
51.1 deg, rel. 22, hkl 5 5 0

Crystal structure
Cell lengths 13.3953, 12.7816, 4.9964 Å; angles 90.00, 111.25, 90.00 degrees
Space group Cm (No. 8)
Symmetry-distinct sites (fractional):
In 0.0000 0.0000 0.0000 x2
In 0.0826 0.5000 0.0852 x2
In 0.2433 0.5000 0.7458 x2
In 0.3648 0.2086 0.8633 x4
In 0.3705 0.3719 0.3724 x4
Bi 0.0576 0.3118 0.5535 x4
Bi 0.1706 0.1914 0.1659 x4
Bi 0.1857 0.0000 0.6771 x2
Pb 0.3733 0.0000 0.3666 x2


No. 7
Structure and theoretical PXRD pattern of In4BiPb4 (DFT lattice parameters and positions (GGA-PBE); Cu Kα (weighted mean of Kα1 and Kα2)).

Principal peaks in the range 10 to 80 degrees two-theta, low angle first:
31.5 deg, rel. 100, hkl 3 0 1
34.3 deg, rel. 20, hkl 0 0 2
37.5 deg, rel. 31, hkl 3 3 0
51.8 deg, rel. 25, hkl 3 3 2
59.7 deg, rel. 16, hkl 3 0 3
64.0 deg, rel. 26, hkl 6 3 1

Crystal structure
Cell lengths 10.1675, 10.1675, 5.2273 Å; angles 90.00, 90.00, 90.00 degrees
Space group I4/mmm (No. 139)
Symmetry-distinct sites (fractional):
In 0.0000 0.3381 0.0000 x8
Bi 0.0000 0.0000 0.0000 x2
Pb 0.1682 0.1682 0.5000 x8


No. 8
Structure and theoretical PXRD pattern of In9Bi2Pb (DFT lattice parameters and positions (GGA-PBE); Cu Kα (weighted mean of Kα1 and Kα2)).

Principal peaks in the range 10 to 80 degrees two-theta, low angle first:
31.9 deg, rel. 100, hkl 1 1 3
36.1 deg, rel. 36, hkl 2 0 0
38.6 deg, rel. 15, hkl 0 0 6
52.0 deg, rel. 12, hkl 2 2 0
53.9 deg, rel. 22, hkl 2 0 6
62.3 deg, rel. 29, hkl 3 1 3

Crystal structure
Cell lengths 4.9714, 4.9714, 13.9883 Å; angles 90.00, 90.00, 90.00 degrees
Space group P4/mmm (No. 123)
Symmetry-distinct sites (fractional):
In 0.0000 0.0000 0.0000 x1
In 0.0000 0.0000 0.3318 x2
In 0.0000 0.5000 0.1658 x4
In 0.0000 0.5000 0.5000 x2
Bi 0.5000 0.5000 0.3327 x2
Pb 0.5000 0.5000 0.0000 x1